[1]
Starting from a cell relaxed with GGA-PBE, the X-ray powder pattern of DyHo3N3 was calculated for Cu Kα (λ = 1.5418 Å).

Main lines, in order of rising 2θ (2θ from 5° to 70°):
(1 1 1), 2θ 31.71, d 2.822, rel. 100
(2 0 0), 2θ 36.77, d 2.444, rel. 65
(2 2 0), 2θ 52.99, d 1.728, rel. 45
(3 1 1), 2θ 63.08, d 1.474, rel. 44
(2 2 2), 2θ 66.23, d 1.411, rel. 15

Atomic structure:
Unit cell a=4.8880 b=4.8880 c=4.8880 alpha=90.00 beta=90.00 gamma=90.00
Space group Pm-3m (No. 221)
Asymmetric unit:
Dy 0.0000 0.0000 0.0000 (multiplicity 1)
Ho 0.0000 0.5000 0.5000 (multiplicity 3)
N 0.0000 0.0000 0.5000 (multiplicity 3)


[2]
Starting from a cell relaxed with GGA-PBE, the X-ray powder pattern of Th2Fe3Ge5 was calculated for Cu Kα (λ = 1.5418 Å).

Main lines, in order of rising 2θ (2θ from 5° to 70°):
(1 2 1), 2θ 23.04, d 3.860, rel. 60
(0 4 0), 2θ 29.62, d 3.016, rel. 20
(0 0 2), 2θ 30.55, d 2.926, rel. 23
(3 2 1), 2θ 34.83, d 2.576, rel. 100
(2 4 0), 2θ 34.95, d 2.567, rel. 81
(2 0 2), 2θ 35.76, d 2.511, rel. 94
(0 4 2), 2θ 43.07, d 2.100, rel. 75
(5 2 1), 2θ 51.52, d 1.774, rel. 31
(3 6 1), 2θ 55.97, d 1.643, rel. 20
(3 2 3), 2θ 57.10, d 1.613, rel. 24

Atomic structure:
Unit cell a=9.7852 b=12.0646 c=5.8520 alpha=90.00 beta=90.00 gamma=90.00
Space group Ibam (No. 72)
Asymmetric unit:
Th 0.2324 0.1368 0.0000 (multiplicity 8)
Fe 0.0000 0.5000 0.2500 (multiplicity 4)
Fe 0.1030 0.1441 0.5000 (multiplicity 8)
Ge 0.0000 0.0000 0.2500 (multiplicity 4)
Ge 0.0000 0.2801 0.2500 (multiplicity 8)
Ge 0.1632 0.4074 0.0000 (multiplicity 8)